Record 1
Calculated powder XRD pattern of Li2Mn3B3O9 for Cu Kα, from a crystal structure in the Materials Project, relaxed with GGA+U.

Crystal structure
Lattice parameters (Å, degrees): 6.1087 7.8944 9.1119 110.30 107.95 99.09
Element x y z (fractional)
Li 0.0648 0.3752 0.0552
Li 0.2845 0.9540 0.6195
Li 0.7155 0.0460 0.3805
Li 0.9352 0.6248 0.9448
Mn 0.1415 0.3878 0.7326
Mn 0.2182 0.9670 0.9402
Mn 0.4466 0.6925 0.4120
Mn 0.5534 0.3075 0.5880
Mn 0.7818 0.0331 0.0598
Mn 0.8585 0.6122 0.2674
B 0.1020 0.3545 0.3891
B 0.2102 0.9557 0.2696
B 0.4369 0.7054 0.0758
B 0.5631 0.2946 0.9242
B 0.7898 0.0443 0.7304
B 0.8980 0.6455 0.6109
O 0.0510 0.8975 0.0965
O 0.0763 0.8115 0.6825
O 0.1272 0.4659 0.2997
O 0.1701 0.8408 0.3525
O 0.2452 0.5428 0.9946
O 0.2664 0.4263 0.5573
O 0.4007 0.2416 0.7578
O 0.4082 0.1087 0.3425
O 0.4684 0.8266 0.9986
O 0.5316 0.1734 0.0014
O 0.5918 0.8913 0.6575
O 0.5993 0.7584 0.2422
O 0.7336 0.5737 0.4427
O 0.7548 0.4572 0.0054
O 0.8299 0.1592 0.6475
O 0.8728 0.5341 0.7003
O 0.9237 0.1885 0.3175
O 0.9490 0.1025 0.9035

Most intense lines, 2θ from 5° to 70°, in order of rising 2θ:
2θ/deg  I (rel.)  h k l
20.12  100  0 1 1
22.00  58  1 0 -2
22.83  79  0 2 -1
33.87  40  1 2 0
33.97  30  1 2 -3
34.67  94  2 -2 0
37.57  28  -1 1 3
39.70  26  1 1 -4
40.62  35  2 2 -2
51.77  28  2 -4 1

Record 2
Calculated powder XRD pattern of LiMn2B2O6 for Cu Kα, from a crystal structure in the Materials Project, relaxed with GGA+U.

Crystal structure
Lattice parameters (Å, degrees): 5.2878 5.7786 22.1030 89.31 89.32 66.29
Element x y z (fractional)
Li 0.0000 0.0000 0.0000
Li 0.0354 0.2954 0.6238
Li 0.3985 0.2009 0.1993
Li 0.5939 0.8016 0.8001
Li 0.6316 0.0963 0.4243
Mn 0.0895 0.8172 0.7328
Mn 0.1375 0.0835 0.4899
Mn 0.2864 0.4264 0.3352
Mn 0.3428 0.6726 0.0905
Mn 0.4923 0.0162 0.9346
Mn 0.5360 0.2821 0.6904
Mn 0.6866 0.6266 0.5347
Mn 0.7387 0.8726 0.2888
Mn 0.8918 0.2151 0.1339
Mn 0.9432 0.4715 0.8893
B 0.0381 0.9486 0.8641
B 0.1880 0.9549 0.3612
B 0.2379 0.5470 0.4660
B 0.3908 0.5519 0.9576
B 0.4383 0.1465 0.0638
B 0.5905 0.1496 0.5594
B 0.6420 0.7459 0.6680
B 0.7895 0.7516 0.1577
B 0.8401 0.3431 0.2623
B 0.9859 0.3531 0.7561
O 0.0114 0.0264 0.4097
O 0.0181 0.2713 0.2136
O 0.0414 0.4499 0.4799
O 0.0922 0.0729 0.9139
O 0.1443 0.8047 0.3170
O 0.1886 0.4449 0.7443
O 0.2101 0.8912 0.8150
O 0.2110 0.0843 0.0680
O 0.2173 0.6367 0.0052
O 0.2655 0.7204 0.5065
O 0.3661 0.3764 0.9167
O 0.4052 0.0359 0.3536
O 0.4158 0.4624 0.4179
O 0.4173 0.2063 0.6077
O 0.4335 0.6641 0.6787
O 0.4941 0.2703 0.1134
O 0.5388 0.0250 0.5091
O 0.5877 0.6498 0.9429
O 0.6117 0.8362 0.2047
O 0.6166 0.0804 0.0155
O 0.6212 0.2678 0.2693
O 0.6785 0.8982 0.7141
O 0.7649 0.5768 0.1169
O 0.8105 0.4336 0.8032
O 0.8136 0.8811 0.8688
O 0.8156 0.2172 0.5550
O 0.8177 0.6632 0.6204
O 0.8906 0.4869 0.3067
O 0.9600 0.1915 0.7103
O 0.9874 0.8488 0.1440

Most intense lines, 2θ from 5° to 70°, in order of rising 2θ:
2θ/deg  I (rel.)  h k l
20.09  100  0 0 5
20.76  23  1 1 2
21.89  47  1 0 3
22.89  66  1 1 -3
33.97  19  2 1 0
34.02  33  1 0 -7
34.19  19  1 1 7
34.94  65  0 2 -2
37.35  33  1 0 8
40.81  30  2 0 -4

Record 3
Calculated powder XRD pattern of Li2Mn3B3O9 for Cu Kα, from a crystal structure in the Materials Project, relaxed with GGA+U.

Crystal structure
Lattice parameters (Å, degrees): 6.3477 8.2614 8.5734 117.34 107.57 91.20
Element x y z (fractional)
Li 0.0000 0.0000 0.0000
Li 0.1388 0.6789 0.2598
Li 0.2848 0.2522 0.5739
Li 0.5130 0.0084 0.0015
Mn 0.0858 0.9682 0.6460
Mn 0.2314 0.6084 0.8987
Mn 0.3934 0.3546 0.2959
Mn 0.5847 0.9702 0.6138
Mn 0.7329 0.6083 0.9031
Mn 0.8850 0.3526 0.3037
B 0.0018 0.3190 0.9572
B 0.3105 0.6475 0.6202
B 0.3739 0.9756 0.2559
B 0.4775 0.3001 0.9334
B 0.8205 0.6644 0.6174
B 0.9001 0.9685 0.2761
O 0.0051 0.0700 0.4704
O 0.0815 0.3976 0.1503
O 0.2210 0.4592 0.5187
O 0.2874 0.7576 0.5361
O 0.3176 0.0645 0.1493
O 0.3388 0.7827 0.1700
O 0.3979 0.1083 0.8083
O 0.4223 0.7287 0.8161
O 0.4556 0.4163 0.8552
O 0.4596 0.0800 0.4477
O 0.5728 0.3549 0.1186
O 0.7096 0.4842 0.5049
O 0.8121 0.7828 0.5403
O 0.8298 0.0642 0.1757
O 0.8777 0.7795 0.1828
O 0.9261 0.1287 0.8416
O 0.9413 0.7323 0.8069
O 0.9950 0.4364 0.8803

Most intense lines, 2θ from 5° to 70°, in order of rising 2θ:
2θ/deg  I (rel.)  h k l
21.38  92  0 1 1
21.52  99  0 2 -1
21.75  100  0 1 -2
34.58  33  2 -1 1
34.76  26  2 1 0
35.34  37  2 -2 0
36.14  30  2 2 -2
36.55  37  -2 1 2
37.15  31  2 1 -3
38.10  40  0 3 -3